[1]
Theoretical PXRD pattern
Compound: Be6ZnNi
Radiation: Cu Kα
Structure: a PBE-relaxed structure
Intensities are scaled so that the largest is 100.

Crystal structure
abc: 3.721 4.810 4.044
angles: 90.00 90.00 90.00
Fractional positions:
Be 0.000 0.000 0.000
Be 0.000 0.238 0.505
Be 0.000 0.762 0.505
Be 0.500 0.228 0.840
Be 0.500 0.500 0.376
Be 0.500 0.772 0.840
Zn 0.000 0.500 0.008
Ni 0.500 0.000 0.339

Most intense lines, 2θ from 15° to 90°, most intense first:
2theta, I/Imax
30.37, 100
28.84, 82
50.51, 65
32.71, 61
48.92, 44
51.44, 30
37.81, 30
37.39, 29
21.98, 27
63.16, 22
57.82, 22
43.79, 17



[2]
Theoretical PXRD pattern
Compound: Na2NdScSe4
Radiation: Cu Kα
Structure: a PBE-relaxed structure
Intensities are scaled so that the largest is 100.

Crystal structure
abc: 7.139 4.121 7.393
angles: 90.00 108.78 90.00
Fractional positions:
Na 0.000 0.000 0.000
Na 0.500 0.500 0.000
Nd 0.000 0.500 0.500
Sc 0.500 0.000 0.500
Se 0.262 0.000 0.731
Se 0.276 0.500 0.278
Se 0.724 0.500 0.722
Se 0.738 0.000 0.269

Most intense lines, 2θ from 15° to 90°, most intense first:
2theta, I/Imax
30.28, 100
42.76, 36
43.94, 35
54.29, 18
72.32, 14
70.61, 13
62.98, 10
79.96, 10
39.23, 10
25.31, 8
45.91, 7
52.27, 6



[3]
Theoretical PXRD pattern
Compound: Tb2Pr3Ag2
Radiation: Cu Kα
Structure: a PBE-relaxed structure
Intensities are scaled so that the largest is 100.

Crystal structure
abc: 6.830 6.830 9.411
angles: 113.93 113.93 32.51
Fractional positions:
Tb 0.150 0.150 0.315
Tb 0.850 0.850 0.685
Pr 0.391 0.391 0.056
Pr 0.500 0.500 0.500
Pr 0.609 0.609 0.944
Ag 0.177 0.177 0.721
Ag 0.823 0.823 0.279

Most intense lines, 2θ from 15° to 90°, most intense first:
2theta, I/Imax
31.09, 100
33.16, 100
30.13, 97
30.53, 65
32.54, 60
34.40, 52
28.50, 37
37.54, 37
47.57, 37
54.33, 31
59.19, 30
57.58, 21



[4]
Theoretical PXRD pattern
Compound: Tb2Dy2TmMg2
Radiation: Cu Kα
Structure: a PBE-relaxed structure
Intensities are scaled so that the largest is 100.

Crystal structure
abc: 8.570 8.570 8.570
angles: 36.87 36.87 36.87
Fractional positions:
Tb 0.154 0.154 0.154
Tb 0.846 0.846 0.846
Dy 0.426 0.426 0.426
Dy 0.574 0.574 0.574
Tm 0.000 0.000 0.000
Mg 0.289 0.289 0.289
Mg 0.711 0.711 0.711

Most intense lines, 2θ from 15° to 90°, most intense first:
2theta, I/Imax
33.05, 100
32.39, 95
58.62, 35
26.60, 35
46.95, 34
57.36, 31
78.63, 20
59.03, 19
77.54, 19
20.32, 18
69.34, 12
87.98, 10